# 1
Simulated powder XRD pattern of Tb6Hg8Pb for Cu Kα X-rays, from a crystal structure in Alexandria, relaxed with GGA-PBE.
Kinematic intensities with the Lorentz-polarization factor, no thermal factor.

Cell lengths 8.1060, 8.1060, 8.1060 Å; angles 65.65, 65.65, 65.65 degrees
Atoms (fractional coordinates):
Tb 0.1116 0.8138 0.3777
Tb 0.1862 0.6223 0.8884
Tb 0.3777 0.1116 0.8138
Tb 0.6223 0.8884 0.1862
Tb 0.8138 0.3777 0.1116
Tb 0.8884 0.1862 0.6223
Hg 0.0467 0.4337 0.6860
Hg 0.1985 0.1985 0.1985
Hg 0.3140 0.9533 0.5663
Hg 0.4337 0.6860 0.0467
Hg 0.5663 0.3140 0.9533
Hg 0.6860 0.0467 0.4337
Hg 0.8015 0.8015 0.8015
Hg 0.9533 0.5663 0.3140
Pb 0.5000 0.5000 0.5000

Most intense lines, 10° ≤ 2θ ≤ 80°, in order of rising 2θ:
two_theta, d [Å], I_rel
24.68, 3.608, 45
34.97, 2.566, 100
35.38, 2.537, 94
36.54, 2.459, 18
50.60, 1.804, 23
62.45, 1.487, 18


# 2
Simulated powder XRD pattern of HgTe2Pb for Cu Kα X-rays, from a crystal structure in Alexandria, relaxed with GGA-PBE.
Kinematic intensities with the Lorentz-polarization factor, no thermal factor.

Cell lengths 7.0592, 7.0592, 13.6728 Å; angles 90.00, 90.00, 90.00 degrees
Atoms (fractional coordinates):
Hg 0.0000 0.0000 0.0000
Hg 0.0000 0.5000 0.2500
Hg 0.5000 0.0000 0.7500
Hg 0.5000 0.5000 0.5000
Te 0.2166 0.2500 0.1250
Te 0.2500 0.7166 0.3750
Te 0.2500 0.7834 0.8750
Te 0.2834 0.2500 0.6250
Te 0.7166 0.7500 0.6250
Te 0.7500 0.2166 0.8750
Te 0.7500 0.2834 0.3750
Te 0.7834 0.7500 0.1250
Pb 0.0000 0.0000 0.5000
Pb 0.0000 0.5000 0.7500
Pb 0.5000 0.0000 0.2500
Pb 0.5000 0.5000 0.0000

Most intense lines, 10° ≤ 2θ ≤ 80°, in order of rising 2θ:
two_theta, d [Å], I_rel
22.05, 4.031, 100
35.98, 2.496, 26
36.60, 2.455, 52
42.60, 2.122, 35
43.66, 2.073, 17
65.09, 1.433, 17


# 3
Simulated powder XRD pattern of HgTe2Pb for Cu Kα X-rays, from a crystal structure in Alexandria, relaxed with GGA-PBE.
Kinematic intensities with the Lorentz-polarization factor, no thermal factor.

Cell lengths 4.6823, 4.6823, 8.8766 Å; angles 90.00, 90.00, 120.00 degrees
Atoms (fractional coordinates):
Hg 0.0000 0.0000 0.0000
Te 0.0000 0.0000 0.3364
Te 0.6667 0.3333 0.8989
Pb 0.6667 0.3333 0.5067

Most intense lines, 10° ≤ 2θ ≤ 80°, in order of rising 2θ:
two_theta, d [Å], I_rel
20.01, 4.438, 58
21.92, 4.055, 79
24.13, 3.688, 82
37.63, 2.390, 100
38.45, 2.341, 76
43.71, 2.071, 48